Record 1
Starting from DFT lattice parameters and positions (GGA-PBE), the powder diffractogram of LiNd6Al was simulated for a wavelength of 1.5418 Å.
Neutral-atom scattering factors, no anomalous dispersion.

Most intense lines, 2θ = 10–90°, in order of rising 2θ:
| Position (°2θ) | I/Imax |
| --- | --- |
| 24.04 | 9.0 |
| 26.02 | 33.8 |
| 29.74 | 15.5 |
| 31.27 | 100.0 |
| 34.25 | 44.9 |
| 45.99 | 18.8 |
| 49.23 | 16.1 |
| 53.67 | 14.1 |
| 56.81 | 15.8 |
| 58.58 | 9.1 |
| 59.48 | 31.9 |
| 78.43 | 12.3 |

Structure:
```
data_LiNd6Al
_chemical_formula_sum 'Li1 Nd6 Al1'
_symmetry_space_group_name_H-M 'P 1'
_symmetry_Int_Tables_number 1
_cell_length_a 9.7410
_cell_length_b 9.7410
_cell_length_c 5.2355
_cell_angle_alpha 105.54
_cell_angle_beta 105.54
_cell_angle_gamma 31.18
loop_
_symmetry_equiv_pos_as_xyz
'x,y,z'
loop_
_atom_site_label
_atom_site_fract_x
_atom_site_fract_y
_atom_site_fract_z
Li1 0.0000 0.0000 0.0000
Nd1 0.1069 0.1069 0.6067
Nd2 0.2514 0.2514 0.2518
Nd3 0.3931 0.3931 0.8932
Nd4 0.6069 0.6069 0.1068
Nd5 0.7486 0.7486 0.7482
Nd6 0.8931 0.8931 0.3933
Al1 0.5000 0.5000 0.5000
```

***

Record 2
Starting from DFT lattice parameters and positions (GGA-PBE), the powder diffractogram of NdTmPt was simulated for a wavelength of 1.5418 Å.
Neutral-atom scattering factors, no anomalous dispersion.

Most intense lines, 2θ = 10–90°, in order of rising 2θ:
| Position (°2θ) | I/Imax |
| --- | --- |
| 13.22 | 43.3 |
| 22.31 | 53.2 |
| 29.13 | 49.4 |
| 29.46 | 37.0 |
| 31.23 | 38.0 |
| 31.77 | 47.7 |
| 32.26 | 97.4 |
| 36.24 | 100.0 |
| 36.81 | 42.3 |
| 37.44 | 39.7 |
| 38.73 | 37.7 |
| 40.25 | 40.2 |

Structure:
```
data_NdTmPt
_chemical_formula_sum 'Nd8 Tm8 Pt8'
_symmetry_space_group_name_H-M 'P 1'
_symmetry_Int_Tables_number 1
_cell_length_a 6.8955
_cell_length_b 13.3967
_cell_length_c 7.1327
_cell_angle_alpha 90.00
_cell_angle_beta 90.00
_cell_angle_gamma 90.00
loop_
_symmetry_equiv_pos_as_xyz
'x,y,z'
loop_
_atom_site_label
_atom_site_fract_x
_atom_site_fract_y
_atom_site_fract_z
Nd1 0.2086 0.1961 0.0995
Nd2 0.2086 0.3039 0.5995
Nd3 0.2914 0.6961 0.0995
Nd4 0.2914 0.8039 0.5995
Nd5 0.7086 0.1961 0.4005
Nd6 0.7086 0.3039 0.9005
Nd7 0.7914 0.6961 0.4005
Nd8 0.7914 0.8039 0.9005
Tm1 0.0028 0.5304 0.7595
Tm2 0.0028 0.9696 0.2595
Tm3 0.4972 0.0304 0.7595
Tm4 0.4972 0.4696 0.2595
Tm5 0.5028 0.5304 0.7405
Tm6 0.5028 0.9696 0.2405
Tm7 0.9972 0.0304 0.7405
Tm8 0.9972 0.4696 0.2405
Pt1 0.2309 0.5994 0.4606
Pt2 0.2309 0.9006 0.9606
Pt3 0.2691 0.0994 0.4606
Pt4 0.2691 0.4006 0.9606
Pt5 0.7309 0.5994 0.0394
Pt6 0.7309 0.9006 0.5394
Pt7 0.7691 0.0994 0.0394
Pt8 0.7691 0.4006 0.5394
```

***

Record 3
Starting from DFT lattice parameters and positions (GGA-PBE), the powder diffractogram of AcNd2Hg8 was simulated for a wavelength of 1.5418 Å.
Neutral-atom scattering factors, no anomalous dispersion.

Most intense lines, 2θ = 10–90°, in order of rising 2θ:
| Position (°2θ) | I/Imax |
| --- | --- |
| 23.54 | 8.5 |
| 30.94 | 17.3 |
| 33.46 | 31.5 |
| 34.31 | 100.0 |
| 34.64 | 25.2 |
| 37.19 | 8.4 |
| 48.93 | 19.3 |
| 50.88 | 7.0 |
| 60.36 | 20.1 |
| 61.90 | 19.5 |
| 66.77 | 6.8 |
| 72.29 | 6.9 |

Structure:
```
data_AcNd2Hg8
_chemical_formula_sum 'Ac1 Nd2 Hg8'
_symmetry_space_group_name_H-M 'P 1'
_symmetry_Int_Tables_number 1
_cell_length_a 8.9992
_cell_length_b 8.9992
_cell_length_c 8.9992
_cell_angle_alpha 145.38
_cell_angle_beta 131.85
_cell_angle_gamma 60.66
loop_
_symmetry_equiv_pos_as_xyz
'x,y,z'
loop_
_atom_site_label
_atom_site_fract_x
_atom_site_fract_y
_atom_site_fract_z
Ac1 0.0000 0.0000 0.0000
Nd1 0.3144 0.3144 0.0000
Nd2 0.6856 0.6856 0.0000
Hg1 0.1274 0.8421 0.2854
Hg2 0.1574 0.6574 0.5000
Hg3 0.2930 0.5000 0.7930
Hg4 0.4433 0.1579 0.2854
Hg5 0.5567 0.8421 0.7146
Hg6 0.7070 0.5000 0.2070
Hg7 0.8426 0.3426 0.5000
Hg8 0.8726 0.1579 0.7146
```

***

Record 4
Starting from DFT lattice parameters and positions (GGA-PBE), the powder diffractogram of PmNp2O11 was simulated for a wavelength of 1.5418 Å.
Neutral-atom scattering factors, no anomalous dispersion.

Most intense lines, 2θ = 10–90°, in order of rising 2θ:
| Position (°2θ) | I/Imax |
| --- | --- |
| 13.38 | 13.9 |
| 16.31 | 30.9 |
| 18.97 | 27.9 |
| 21.15 | 20.3 |
| 22.77 | 17.8 |
| 25.11 | 100.0 |
| 26.95 | 46.1 |
| 31.66 | 15.1 |
| 43.08 | 27.1 |
| 46.50 | 32.1 |
| 51.55 | 16.7 |
| 54.30 | 12.7 |

Structure:
```
data_PmNp2O11
_chemical_formula_sum 'Pm2 Np4 O22'
_symmetry_space_group_name_H-M 'P 1'
_symmetry_Int_Tables_number 1
_cell_length_a 8.5631
_cell_length_b 8.5631
_cell_length_c 8.5631
_cell_angle_alpha 101.21
_cell_angle_beta 113.75
_cell_angle_gamma 113.75
loop_
_symmetry_equiv_pos_as_xyz
'x,y,z'
loop_
_atom_site_label
_atom_site_fract_x
_atom_site_fract_y
_atom_site_fract_z
Pm1 0.0000 0.0000 0.0000
Pm2 0.0000 0.5000 0.5000
Np1 0.0447 0.5231 0.0216
Np2 0.5015 0.0231 0.9784
Np3 0.5019 0.4732 0.5287
Np4 0.9446 0.9732 0.4713
O1 0.0506 0.3040 0.0030
O2 0.0506 0.5476 0.2465
O3 0.0626 0.5099 0.8086
O4 0.0626 0.7540 0.0527
O5 0.3010 0.0476 0.9970
O6 0.3008 0.2545 0.3012
O7 0.3008 0.4996 0.5462
O8 0.3010 0.8040 0.7535
O9 0.3295 0.1984 0.6310
O10 0.4467 0.7213 0.2254
O11 0.4959 0.2213 0.7746
O12 0.5634 0.8648 0.1986
O13 0.5674 0.6984 0.3690
O14 0.6663 0.3648 0.8014
O15 0.7013 0.0099 0.9473
O16 0.7013 0.2540 0.1914
O17 0.7028 0.4491 0.5077
O18 0.7028 0.6952 0.7538
O19 0.9414 0.1952 0.4923
O20 0.9414 0.9491 0.2462
O21 0.9534 0.9996 0.6988
O22 0.9534 0.7545 0.4538
```

***

Record 5
Starting from DFT lattice parameters and positions (GGA-PBE), the powder diffractogram of NaSc2Sn2 was simulated for a wavelength of 1.5418 Å.
Neutral-atom scattering factors, no anomalous dispersion.

Most intense lines, 2θ = 10–90°, in order of rising 2θ:
| Position (°2θ) | I/Imax |
| --- | --- |
| 14.21 | 23.7 |
| 20.15 | 20.9 |
| 22.56 | 34.5 |
| 32.12 | 39.9 |
| 34.43 | 22.3 |
| 35.95 | 100.0 |
| 42.28 | 19.7 |
| 43.57 | 17.5 |
| 51.25 | 24.4 |
| 52.37 | 14.3 |
| 63.75 | 16.8 |
| 66.97 | 9.2 |

Structure:
```
data_NaSc2Sn2
_chemical_formula_sum 'Na2 Sc4 Sn4'
_symmetry_space_group_name_H-M 'P 1'
_symmetry_Int_Tables_number 1
_cell_length_a 8.8126
_cell_length_b 8.8126
_cell_length_c 3.2301
_cell_angle_alpha 90.00
_cell_angle_beta 90.00
_cell_angle_gamma 90.00
loop_
_symmetry_equiv_pos_as_xyz
'x,y,z'
loop_
_atom_site_label
_atom_site_fract_x
_atom_site_fract_y
_atom_site_fract_z
Na1 0.0000 0.0000 0.0000
Na2 0.5000 0.5000 0.0000
Sc1 0.1271 0.3729 0.0000
Sc2 0.3729 0.8729 0.0000
Sc3 0.6271 0.1271 0.0000
Sc4 0.8729 0.6271 0.0000
Sn1 0.1704 0.6704 0.5000
Sn2 0.3296 0.1704 0.5000
Sn3 0.6704 0.8296 0.5000
Sn4 0.8296 0.3296 0.5000
```

***

Record 6
Starting from DFT lattice parameters and positions (GGA-PBE), the powder diffractogram of Sc7Ga2Cu2 was simulated for a wavelength of 1.5418 Å.
Neutral-atom scattering factors, no anomalous dispersion.

Most intense lines, 2θ = 10–90°, in order of rising 2θ:
| Position (°2θ) | I/Imax |
| --- | --- |
| 22.07 | 59.6 |
| 28.25 | 66.0 |
| 31.26 | 33.3 |
| 35.13 | 61.1 |
| 38.46 | 18.0 |
| 40.20 | 55.6 |
| 41.22 | 100.0 |
| 45.18 | 16.0 |
| 45.67 | 18.3 |
| 48.36 | 38.8 |
| 56.20 | 17.8 |
| 63.73 | 15.9 |

Structure:
```
data_Sc7Ga2Cu2
_chemical_formula_sum 'Sc7 Ga2 Cu2'
_symmetry_space_group_name_H-M 'P 1'
_symmetry_Int_Tables_number 1
_cell_length_a 6.2542
_cell_length_b 6.2542
_cell_length_c 6.5474
_cell_angle_alpha 90.00
_cell_angle_beta 90.00
_cell_angle_gamma 109.56
loop_
_symmetry_equiv_pos_as_xyz
'x,y,z'
loop_
_atom_site_label
_atom_site_fract_x
_atom_site_fract_y
_atom_site_fract_z
Sc1 0.0000 0.0000 0.0000
Sc2 0.0000 0.5000 0.2671
Sc3 0.0000 0.5000 0.7329
Sc4 0.5000 0.0000 0.2671
Sc5 0.5000 0.0000 0.7329
Sc6 0.5000 0.5000 0.2531
Sc7 0.5000 0.5000 0.7469
Ga1 0.1743 0.1743 0.5000
Ga2 0.8257 0.8257 0.5000
Cu1 0.2938 0.7062 0.0000
Cu2 0.7062 0.2938 0.0000
```

***

Record 7
Starting from DFT lattice parameters and positions (GGA-PBE), the powder diffractogram of AcTh2P3Rh12 was simulated for a wavelength of 1.5418 Å.
Neutral-atom scattering factors, no anomalous dispersion.

Most intense lines, 2θ = 10–90°, in order of rising 2θ:
| Position (°2θ) | I/Imax |
| --- | --- |
| 27.26 | 23.5 |
| 32.18 | 28.3 |
| 33.81 | 100.0 |
| 35.98 | 10.8 |
| 41.71 | 78.5 |
| 43.97 | 19.1 |
| 53.64 | 13.8 |
| 54.78 | 21.6 |
| 56.22 | 13.5 |
| 62.21 | 11.0 |
| 63.20 | 11.3 |
| 71.12 | 13.2 |

Structure:
```
data_AcTh2P3Rh12
_chemical_formula_sum 'Ac1 Th2 P3 Rh12'
_symmetry_space_group_name_H-M 'P 1'
_symmetry_Int_Tables_number 1
_cell_length_a 7.0665
_cell_length_b 7.0665
_cell_length_c 7.0665
_cell_angle_alpha 75.61
_cell_angle_beta 75.61
_cell_angle_gamma 75.61
loop_
_symmetry_equiv_pos_as_xyz
'x,y,z'
loop_
_atom_site_label
_atom_site_fract_x
_atom_site_fract_y
_atom_site_fract_z
Ac1 0.0000 0.0000 0.0000
Th1 0.3944 0.3944 0.3944
Th2 0.6056 0.6056 0.6056
P1 0.0000 0.0000 0.5000
P2 0.0000 0.5000 0.0000
P3 0.5000 0.0000 0.0000
Rh1 0.0966 0.6676 0.6676
Rh2 0.1664 0.1664 0.6149
Rh3 0.1664 0.6149 0.1664
Rh4 0.3324 0.3324 0.9034
Rh5 0.3324 0.9034 0.3324
Rh6 0.3851 0.8336 0.8336
Rh7 0.6149 0.1664 0.1664
Rh8 0.6676 0.0966 0.6676
Rh9 0.6676 0.6676 0.0966
Rh10 0.8336 0.3851 0.8336
Rh11 0.8336 0.8336 0.3851
Rh12 0.9034 0.3324 0.3324
```

***

Record 8
Starting from DFT lattice parameters and positions (GGA-PBE), the powder diffractogram of BaPrTcN4 was simulated for a wavelength of 1.5418 Å.
Neutral-atom scattering factors, no anomalous dispersion.

Most intense lines, 2θ = 10–90°, in order of rising 2θ:
| Position (°2θ) | I/Imax |
| --- | --- |
| 12.28 | 36.1 |
| 19.39 | 31.5 |
| 21.29 | 76.5 |
| 22.07 | 46.4 |
| 29.00 | 100.0 |
| 29.28 | 77.2 |
| 30.16 | 98.8 |
| 30.41 | 65.5 |
| 33.11 | 35.0 |
| 36.08 | 62.7 |
| 36.77 | 70.1 |
| 43.36 | 64.4 |

Structure:
```
data_BaPrTcN4
_chemical_formula_sum 'Ba2 Pr2 Tc2 N8'
_symmetry_space_group_name_H-M 'P 1'
_symmetry_Int_Tables_number 1
_cell_length_a 6.1323
_cell_length_b 5.9261
_cell_length_c 7.5200
_cell_angle_alpha 90.00
_cell_angle_beta 106.56
_cell_angle_gamma 90.00
loop_
_symmetry_equiv_pos_as_xyz
'x,y,z'
loop_
_atom_site_label
_atom_site_fract_x
_atom_site_fract_y
_atom_site_fract_z
Ba1 0.2166 0.2500 0.4254
Ba2 0.7834 0.7500 0.5746
Pr1 0.2854 0.2500 0.9480
Pr2 0.7146 0.7500 0.0520
Tc1 0.2550 0.7500 0.1748
Tc2 0.7450 0.2500 0.8252
N1 0.0697 0.7500 0.3272
N2 0.0728 0.7500 0.9404
N3 0.4488 0.5077 0.2106
N4 0.4488 0.9923 0.2106
N5 0.5512 0.0077 0.7894
N6 0.5512 0.4923 0.7894
N7 0.9272 0.2500 0.0596
N8 0.9303 0.2500 0.6728
```

***

Record 9
Starting from DFT lattice parameters and positions (GGA-PBE), the powder diffractogram of RbNaNp2I8 was simulated for a wavelength of 1.5418 Å.
Neutral-atom scattering factors, no anomalous dispersion.

Most intense lines, 2θ = 10–90°, in order of rising 2θ:
| Position (°2θ) | I/Imax |
| --- | --- |
| 12.38 | 34.6 |
| 15.67 | 37.1 |
| 21.53 | 33.4 |
| 23.61 | 56.8 |
| 26.74 | 53.5 |
| 29.00 | 100.0 |
| 31.63 | 56.5 |
| 34.59 | 32.8 |
| 37.76 | 60.4 |
| 38.59 | 37.8 |
| 44.61 | 43.5 |
| 48.30 | 26.2 |

Structure:
```
data_RbNaNp2I8
_chemical_formula_sum 'Rb1 Na1 Np2 I8'
_symmetry_space_group_name_H-M 'P 1'
_symmetry_Int_Tables_number 1
_cell_length_a 8.2534
_cell_length_b 8.2534
_cell_length_c 9.2442
_cell_angle_alpha 90.00
_cell_angle_beta 90.00
_cell_angle_gamma 120.00
loop_
_symmetry_equiv_pos_as_xyz
'x,y,z'
loop_
_atom_site_label
_atom_site_fract_x
_atom_site_fract_y
_atom_site_fract_z
Rb1 0.0000 0.0000 0.0000
Na1 0.0000 0.0000 0.5000
Np1 0.3333 0.6667 0.4113
Np2 0.6667 0.3333 0.5887
I1 0.0615 0.3679 0.6601
I2 0.3065 0.9385 0.6601
I3 0.3333 0.6667 0.0840
I4 0.3679 0.3065 0.3399
I5 0.6321 0.6935 0.6601
I6 0.6667 0.3333 0.9160
I7 0.6935 0.0615 0.3399
I8 0.9385 0.6321 0.3399
```

***

Record 10
Starting from DFT lattice parameters and positions (GGA-PBE), the powder diffractogram of U3Sb4Au3 was simulated for a wavelength of 1.5418 Å.
Neutral-atom scattering factors, no anomalous dispersion.

Most intense lines, 2θ = 10–90°, in order of rising 2θ:
| Position (°2θ) | I/Imax |
| --- | --- |
| 21.79 | 17.5 |
| 25.21 | 15.5 |
| 33.56 | 100.0 |
| 40.37 | 54.5 |
| 44.42 | 13.0 |
| 49.99 | 20.9 |
| 63.10 | 12.1 |
| 64.62 | 13.5 |
| 67.61 | 12.4 |
| 69.07 | 10.8 |
| 70.53 | 9.3 |
| 90.00 | 12.7 |

Structure:
```
data_U3Sb4Au3
_chemical_formula_sum 'U6 Sb8 Au6'
_symmetry_space_group_name_H-M 'P 1'
_symmetry_Int_Tables_number 1
_cell_length_a 8.6536
_cell_length_b 8.6536
_cell_length_c 8.6536
_cell_angle_alpha 109.47
_cell_angle_beta 109.47
_cell_angle_gamma 109.47
loop_
_symmetry_equiv_pos_as_xyz
'x,y,z'
loop_
_atom_site_label
_atom_site_fract_x
_atom_site_fract_y
_atom_site_fract_z
U1 0.1250 0.7500 0.8750
U2 0.2500 0.6250 0.3750
U3 0.3750 0.2500 0.6250
U4 0.6250 0.3750 0.2500
U5 0.7500 0.8750 0.1250
U6 0.8750 0.1250 0.7500
Sb1 0.0000 0.3141 0.5000
Sb2 0.0000 0.8141 0.5000
Sb3 0.1859 0.1859 0.1859
Sb4 0.3141 0.5000 0.0000
Sb5 0.5000 0.0000 0.3141
Sb6 0.5000 0.0000 0.8141
Sb7 0.6859 0.6859 0.6859
Sb8 0.8141 0.5000 0.0000
Au1 0.1250 0.8750 0.2500
Au2 0.2500 0.1250 0.8750
Au3 0.3750 0.6250 0.7500
Au4 0.6250 0.7500 0.3750
Au5 0.7500 0.3750 0.6250
Au6 0.8750 0.2500 0.1250
```

***

Record 11
Starting from DFT lattice parameters and positions (GGA-PBE), the powder diffractogram of P5C was simulated for a wavelength of 1.5418 Å.
Neutral-atom scattering factors, no anomalous dispersion.

Most intense lines, 2θ = 10–90°, in order of rising 2θ:
| Position (°2θ) | I/Imax |
| --- | --- |
| 13.47 | 21.7 |
| 16.43 | 20.8 |
| 17.34 | 100.0 |
| 24.67 | 21.1 |
| 26.50 | 41.1 |
| 33.21 | 32.4 |
| 34.88 | 48.2 |
| 35.15 | 71.1 |
| 44.97 | 25.2 |
| 48.77 | 29.2 |
| 54.17 | 22.2 |
| 54.42 | 18.1 |

Structure:
```
data_P5C
_chemical_formula_sum 'P5 C1'
_symmetry_space_group_name_H-M 'P 1'
_symmetry_Int_Tables_number 1
_cell_length_a 7.1677
_cell_length_b 7.1677
_cell_length_c 5.7405
_cell_angle_alpha 109.49
_cell_angle_beta 109.49
_cell_angle_gamma 25.31
loop_
_symmetry_equiv_pos_as_xyz
'x,y,z'
loop_
_atom_site_label
_atom_site_fract_x
_atom_site_fract_y
_atom_site_fract_z
P1 0.0000 0.0000 0.0000
P2 0.0135 0.0135 0.4069
P3 0.2595 0.2595 0.9578
P4 0.3939 0.3939 0.8151
P5 0.6317 0.6317 0.4740
C1 0.7063 0.7063 0.7929
```

***

Record 12
Starting from DFT lattice parameters and positions (GGA-PBE), the powder diffractogram of CaThAs2O8 was simulated for a wavelength of 1.5418 Å.
Neutral-atom scattering factors, no anomalous dispersion.

Most intense lines, 2θ = 10–90°, in order of rising 2θ:
| Position (°2θ) | I/Imax |
| --- | --- |
| 18.07 | 36.2 |
| 21.98 | 100.0 |
| 30.98 | 51.5 |
| 31.57 | 48.5 |
| 38.80 | 15.3 |
| 40.65 | 12.4 |
| 44.82 | 28.1 |
| 50.06 | 15.8 |
| 50.84 | 21.1 |
| 54.74 | 10.6 |
| 55.85 | 19.9 |
| 56.21 | 9.4 |

Structure:
```
data_CaThAs2O8
_chemical_formula_sum 'Ca1 Th1 As2 O8'
_symmetry_space_group_name_H-M 'P 1'
_symmetry_Int_Tables_number 1
_cell_length_a 5.6688
_cell_length_b 5.6688
_cell_length_c 7.1363
_cell_angle_alpha 90.00
_cell_angle_beta 90.00
_cell_angle_gamma 120.00
loop_
_symmetry_equiv_pos_as_xyz
'x,y,z'
loop_
_atom_site_label
_atom_site_fract_x
_atom_site_fract_y
_atom_site_fract_z
Ca1 0.0000 0.0000 0.0000
Th1 0.0000 0.0000 0.5000
As1 0.3333 0.6667 0.8122
As2 0.6667 0.3333 0.1878
O1 0.1692 0.3384 0.7214
O2 0.1692 0.8308 0.7214
O3 0.3333 0.6667 0.0460
O4 0.3384 0.1692 0.2786
O5 0.6616 0.8308 0.7214
O6 0.6667 0.3333 0.9540
O7 0.8308 0.1692 0.2786
O8 0.8308 0.6616 0.2786
```